Record 1
Computed powder X-ray diffraction pattern of BaLiSiN2 for Cu Kα, from a GGA-PBE-relaxed structure.

Cell and atoms:
Cell: 6.461 6.461 5.329 Å, 90.00 90.00 135.93°
Fractional coordinates of all 10 atoms:
Ba  0.250  0.750  0.762
Ba  0.750  0.250  0.238
Li  0.000  0.000  0.500
Li  0.500  0.500  0.500
Si  0.250  0.250  0.000
Si  0.750  0.750  0.000
N  0.078  0.922  0.173
N  0.422  0.578  0.173
N  0.578  0.422  0.827
N  0.922  0.078  0.827

Top 8 peaks for 5° ≤ 2θ ≤ 70°, by intensity:
d = 3.435 Å, intensity 100
d = 2.668 Å, intensity 99
d = 5.990 Å, intensity 38
d = 2.434 Å, intensity 34
d = 2.995 Å, intensity 30
d = 1.992 Å, intensity 27
d = 2.247 Å, intensity 22
d = 1.540 Å, intensity 22



Record 2
Computed powder X-ray diffraction pattern of La2SnBi5 for Cu Kα, from a GGA-PBE-relaxed structure.

Cell and atoms:
Cell: 9.558 10.251 5.080 Å, 90.00 90.00 90.00°
Fractional coordinates of all 16 atoms:
La  0.000  0.249  0.000
La  0.000  0.751  0.000
La  0.500  0.251  0.000
La  0.500  0.749  0.000
Sn  0.000  0.500  0.500
Sn  0.500  0.000  0.500
Bi  0.000  0.000  0.500
Bi  0.246  0.500  0.000
Bi  0.250  0.250  0.500
Bi  0.250  0.750  0.500
Bi  0.254  0.000  0.000
Bi  0.500  0.500  0.500
Bi  0.746  0.000  0.000
Bi  0.750  0.250  0.500
Bi  0.750  0.750  0.500
Bi  0.754  0.500  0.000

Top 8 peaks for 5° ≤ 2θ ≤ 70°, by intensity:
d = 2.880 Å, intensity 100
d = 2.563 Å, intensity 18
d = 2.540 Å, intensity 18
d = 1.534 Å, intensity 16
d = 1.524 Å, intensity 15
d = 2.389 Å, intensity 15
d = 1.457 Å, intensity 13
d = 1.804 Å, intensity 13



Record 3
Computed powder X-ray diffraction pattern of PrPt6 for Cu Kα, from a GGA-PBE-relaxed structure.

Cell and atoms:
Cell: 8.857 5.447 10.647 Å, 90.00 90.00 90.00°
Fractional coordinates of all 28 atoms:
Pr  0.245  0.250  0.057
Pr  0.255  0.750  0.557
Pr  0.745  0.250  0.443
Pr  0.755  0.750  0.943
Pt  0.065  0.006  0.300
Pt  0.065  0.494  0.300
Pt  0.066  0.750  0.076
Pt  0.110  0.250  0.520
Pt  0.164  0.750  0.838
Pt  0.178  0.250  0.773
Pt  0.322  0.750  0.273
Pt  0.336  0.250  0.338
Pt  0.390  0.750  0.020
Pt  0.434  0.250  0.576
Pt  0.435  0.506  0.800
Pt  0.435  0.994  0.800
Pt  0.565  0.006  0.200
Pt  0.565  0.494  0.200
Pt  0.566  0.750  0.424
Pt  0.610  0.250  0.980
Pt  0.664  0.750  0.662
Pt  0.678  0.250  0.727
Pt  0.822  0.750  0.227
Pt  0.836  0.250  0.162
Pt  0.890  0.750  0.480
Pt  0.934  0.250  0.924
Pt  0.935  0.506  0.700
Pt  0.935  0.994  0.700

Top 8 peaks for 5° ≤ 2θ ≤ 70°, by intensity:
d = 2.268 Å, intensity 100
d = 2.523 Å, intensity 95
d = 2.549 Å, intensity 78
d = 2.098 Å, intensity 70
d = 2.168 Å, intensity 68
d = 2.469 Å, intensity 52
d = 2.104 Å, intensity 43
d = 2.425 Å, intensity 32



Record 4
Computed powder X-ray diffraction pattern of Pm4NdH8 for Cu Kα, from a GGA-PBE-relaxed structure.

Cell and atoms:
Cell: 5.855 5.855 5.855 Å, 90.00 90.00 90.00°
Fractional coordinates of all 13 atoms:
Pm  0.000  0.000  0.000
Pm  0.000  0.500  0.500
Pm  0.500  0.000  0.500
Pm  0.500  0.500  0.000
Nd  0.500  0.500  0.500
H  0.258  0.258  0.258
H  0.258  0.258  0.742
H  0.258  0.742  0.258
H  0.258  0.742  0.742
H  0.742  0.258  0.258
H  0.742  0.258  0.742
H  0.742  0.742  0.258
H  0.742  0.742  0.742

Top 8 peaks for 5° ≤ 2θ ≤ 70°, by intensity:
d = 2.928 Å, intensity 100
d = 2.070 Å, intensity 80
d = 3.381 Å, intensity 74
d = 1.765 Å, intensity 35
d = 1.690 Å, intensity 27
d = 5.855 Å, intensity 22
d = 4.140 Å, intensity 19
d = 1.464 Å, intensity 13